Entry 1:
This entry pairs a crystal structure of Li2MnF6 with its simulated powder diffraction line list. Radiation: Cu Kα. Structure: the GGA+U geometry in the Materials Project.
Peak positions follow from Bragg's law for the DFT cell and can differ from measured ones.

Peak list (12 most intense, 2θ from 5° to 70°, in order of falling intensity)
2θ 20.44, intensity 100
2θ 29.39, intensity 41
2θ 20.66, intensity 38
2θ 46.31, intensity 22
2θ 47.29, intensity 22
2θ 28.74, intensity 17
2θ 47.18, intensity 17
2θ 64.32, intensity 10
2θ 65.06, intensity 8
2θ 56.28, intensity 7
2θ 32.95, intensity 7
2θ 56.56, intensity 7

Crystal structure
a = 6.079 Å, b = 6.079 Å, c = 6.213 Å
α = 90.00°, β = 90.00°, γ = 90.00°
Space group P4/mnc (No. 128)
Inequivalent atoms, fractional coordinates:
Li  0.000  0.500  0.250 [4 per cell]
Mn  0.000  0.000  0.000 [2 per cell]
F  0.000  0.000  0.289 [4 per cell]
F  0.061  0.301  0.000 [8 per cell]


Entry 2:
This entry pairs a crystal structure of Ba7Ca2Mn3Cr2O20 with its simulated powder diffraction line list. Radiation: Cu Kα. Structure: the GGA+U geometry in the Materials Project.
Peak positions follow from Bragg's law for the DFT cell and can differ from measured ones.

Peak list (12 most intense, 2θ from 5° to 70°, in order of falling intensity)
2θ 30.31, intensity 100
2θ 28.31, intensity 72
2θ 41.95, intensity 41
2θ 52.63, intensity 25
2θ 5.09, intensity 19
2θ 53.85, intensity 19
2θ 63.05, intensity 18
2θ 37.84, intensity 12
2θ 43.83, intensity 11
2θ 22.12, intensity 11
2θ 25.65, intensity 10
2θ 19.35, intensity 10

Crystal structure
a = 5.8980 Å, b = 5.8980 Å, c = 52.0847 Å
α = 90.00°, β = 90.00°, γ = 120.00°
Space group R-3m (No. 166, hexagonal axes)
Inequivalent atoms, fractional coordinates:
Ba  0.0000  0.0000  0.0000 [3 per cell]
Ba  0.0000  0.0000  0.1459 [6 per cell]
Ba  0.0000  0.0000  0.2263 [6 per cell]
Ba  0.0000  0.0000  0.3881 [6 per cell]
Ca  0.0000  0.0000  0.0746 [6 per cell]
Mn  0.0000  0.0000  0.4505 [6 per cell]
Mn  0.0000  0.0000  0.5000 [3 per cell]
Cr  0.0000  0.0000  0.3027 [6 per cell]
O  0.0000  0.0000  0.3350 [6 per cell]
O  0.0162  0.5081  0.3757 [18 per cell]
O  0.0278  0.5139  0.2358 [18 per cell]
O  0.0412  0.5206  0.1433 [18 per cell]